Simulated powder X-ray diffraction pattern of KAl4H12 for copper Kα, from a crystal structure in Alexandria, relaxed with PBE.
No peak broadening, texture or thermal motion is included.

Largest 10 diffraction maxima, low angle first, 10° ≤ 2θ ≤ 80°:
17.48°, rel. 529; 24.81°, rel. 362; 30.51°, rel. 247; 35.37°, rel. 1000; 39.72°, rel. 111; 47.40°, rel. 126; 50.89°, rel. 210; 57.42°, rel. 126; 63.50°, rel. 348; 74.84°, rel. 120

```
KAl4H12
1.0
-3.588 3.588 3.588
3.588 -3.588 3.588
3.588 3.588 -3.588
K Al H
1 4 12
direct
0.000 0.000 0.000
0.000 0.000 0.500
0.000 0.500 0.000
0.500 0.000 0.000
0.500 0.500 0.500
0.002 0.250 0.752
0.248 0.498 0.250
0.248 0.998 0.750
0.250 0.248 0.498
0.250 0.752 0.002
0.498 0.250 0.248
0.502 0.750 0.752
0.750 0.248 0.998
0.750 0.752 0.502
0.752 0.002 0.250
0.752 0.502 0.750
0.998 0.750 0.248
```


Simulated powder X-ray diffraction pattern of LaAl3H12 for copper Kα, from a crystal structure in Alexandria, relaxed with PBE.
No peak broadening, texture or thermal motion is included.

Largest 10 diffraction maxima, low angle first, 10° ≤ 2θ ≤ 80°:
16.37°, rel. 1000; 19.46°, rel. 256; 26.49°, rel. 121; 28.79°, rel. 104; 32.31°, rel. 348; 33.08°, rel. 281; 34.26°, rel. 138; 39.52°, rel. 168; 41.45°, rel. 174; 50.56°, rel. 100

```
LaAl3H12
1.0
3.365 1.943 4.882
-3.365 1.943 4.882
0.000 -3.886 4.882
La Al H
1 3 12
direct
0.000 0.000 0.000
0.000 0.000 0.500
0.000 0.500 0.000
0.500 0.000 0.000
0.102 0.743 0.743
0.137 0.137 0.559
0.137 0.559 0.137
0.257 0.257 0.898
0.257 0.898 0.257
0.441 0.863 0.863
0.559 0.137 0.137
0.743 0.102 0.743
0.743 0.743 0.102
0.863 0.441 0.863
0.863 0.863 0.441
0.898 0.257 0.257
```


Simulated powder X-ray diffraction pattern of La2AlNi9H12 for copper Kα, from a crystal structure in Alexandria, relaxed with PBE.
No peak broadening, texture or thermal motion is included.

Largest 10 diffraction maxima, low angle first, 10° ≤ 2θ ≤ 80°:
29.35°, rel. 295; 29.47°, rel. 189; 30.13°, rel. 293; 31.75°, rel. 463; 35.06°, rel. 463; 38.03°, rel. 723; 39.88°, rel. 1000; 48.08°, rel. 292; 59.43°, rel. 293; 66.33°, rel. 205

```
La2AlNi9H12
1.0
3.031 -4.776 0.000
3.031 4.776 0.000
0.000 0.000 7.569
La Al Ni H
2 1 9 12
direct
0.000 0.000 0.247
0.000 0.000 0.753
0.500 0.500 0.500
0.000 0.500 0.000
0.000 0.500 0.500
0.339 0.661 0.254
0.339 0.661 0.746
0.500 0.000 0.000
0.500 0.000 0.500
0.500 0.500 0.000
0.661 0.339 0.254
0.661 0.339 0.746
0.099 0.279 0.500
0.187 0.363 0.000
0.193 0.807 0.000
0.279 0.099 0.500
0.291 0.709 0.500
0.363 0.187 0.000
0.637 0.813 0.000
0.709 0.291 0.500
0.721 0.901 0.500
0.807 0.193 0.000
0.813 0.637 0.000
0.901 0.721 0.500
```